The following is a theoretical X-ray diffraction stick pattern of Co4O5. It was derived from a structure optimized by DFT (GGA+U), using Cu Kα.
Lines closer than 0.1° are merged.

Structure:
```
9
Lattice="3.6157 0.0000 0.0000 0.0000 3.6157 0.0000 0.0000 0.0000 7.1004" Properties=species:S:1:pos:R:3 pbc="T T T"
Co 0.0000 0.0000 0.0000
Co 0.0000 0.0000 3.5502
Co 1.8079 1.8079 1.6294
Co 1.8079 1.8079 5.4709
O 0.0000 1.8079 1.3295
O 0.0000 1.8079 5.7708
O 1.8079 0.0000 1.3295
O 1.8079 0.0000 5.7708
O 1.8079 1.8079 3.5502
```

Most intense lines, 2θ from 5° to 70°, by angle:
2θ = 12.47°, d = 7.100 Å, intensity 4.2, hkl 0 0 1; 2θ = 35.10°, d = 2.557 Å, intensity 39.0, hkl 1 1 0; 2θ = 35.44°, d = 2.533 Å, intensity 100.0, hkl 1 0 2; 2θ = 38.02°, d = 2.367 Å, intensity 6.0, hkl 0 0 3; 2θ = 43.63°, d = 2.075 Å, intensity 4.3, hkl 1 1 2; 2θ = 50.48°, d = 1.808 Å, intensity 34.4, hkl 2 0 0; 2θ = 51.48°, d = 1.775 Å, intensity 9.4, hkl 0 0 4; 2θ = 63.19°, d = 1.472 Å, intensity 33.7, hkl 2 1 2; 2θ = 63.84°, d = 1.458 Å, intensity 18.5, hkl 1 1 4; 2θ = 64.90°, d = 1.437 Å, intensity 3.5, hkl 2 0 3